# Pm12SmEr5
Simulated X-ray diffraction stick pattern, Cu Ka. Input: DFT lattice parameters and positions (PBE).
Intensities are scaled so that the largest is 100.

Principal peaks in the range 2θ from 5° to 70°, in order of rising 2θ:
- 2.884 Å, 2θ = 31.01°, rel. 30, hkl 0 0 2
- 2.864 Å, 2θ = 31.23°, rel. 100, hkl 3 3 1
- 2.854 Å, 2θ = 31.34°, rel. 15, hkl 1 5 -1
- 2.843 Å, 2θ = 31.47°, rel. 19, hkl 0 6 0
- 2.223 Å, 2θ = 40.59°, rel. 8, hkl 2 4 2
- 2.025 Å, 2θ = 44.75°, rel. 20, hkl 0 6 2
- 1.746 Å, 2θ = 52.42°, rel. 7, hkl 4 8 0
- 1.661 Å, 2θ = 55.30°, rel. 21, hkl 3 3 3
- 1.650 Å, 2θ = 55.71°, rel. 8, hkl 6 6 0
- 1.494 Å, 2θ = 62.12°, rel. 17, hkl 7 5 1

```
data_Pm12SmEr5
_chemical_formula_sum 'Pm24 Sm2 Er10'
_cell_length_a 12.1589
_cell_length_b 17.0566
_cell_length_c 5.7683
_cell_angle_alpha 90.00
_cell_angle_beta 90.01
_cell_angle_gamma 90.00
_symmetry_space_group_name_H-M 'C 1 2/m 1'
_symmetry_Int_Tables_number 12
loop_
_symmetry_equiv_pos_as_xyz
'x,y,z'
'-x,-y,-z'
'-x,y,-z'
'x,-y,z'
'x+1/2,y+1/2,z'
'-x+1/2,-y+1/2,-z'
'-x+1/2,y+1/2,-z'
'x+1/2,-y+1/2,z'
loop_
_atom_site_label
_atom_site_fract_x
_atom_site_fract_y
_atom_site_fract_z
Pm1 0.1495 0.1803 0.0013
Pm2 0.1495 0.3201 0.4988
Pm3 0.1984 0.5000 0.0113
Pm4 0.2029 0.0000 0.4883
Sm1 0.0000 0.0000 0.0000
Er1 0.0000 0.1365 0.5000
Er2 0.0000 0.3643 0.0000
Er3 0.0000 0.5000 0.5000
```


# PmSm5Er5
Simulated X-ray diffraction stick pattern, Cu Ka. Input: DFT lattice parameters and positions (PBE).
Intensities are scaled so that the largest is 100.

Principal peaks in the range 2θ from 5° to 70°, in order of rising 2θ:
- 3.143 Å, 2θ = 28.40°, rel. 100, hkl 1 0 3
- 3.038 Å, 2θ = 29.40°, rel. 85, hkl 1 1 0
- 2.940 Å, 2θ = 30.40°, rel. 46, hkl 0 0 4
- 2.699 Å, 2θ = 33.20°, rel. 27, hkl 1 1 2
- 2.567 Å, 2θ = 34.96°, rel. 73, hkl 2 0 1
- 2.401 Å, 2θ = 37.46°, rel. 53, hkl 2 0 2
- 1.960 Å, 2θ = 46.32°, rel. 33, hkl 0 0 6
- 1.773 Å, 2θ = 51.54°, rel. 39, hkl 2 1 3
- 1.754 Å, 2θ = 52.16°, rel. 29, hkl 3 0 0
- 1.519 Å, 2θ = 61.01°, rel. 29, hkl 2 2 0

```
data_PmSm5Er5
_chemical_formula_sum 'Pm1 Sm5 Er5'
_cell_length_a 6.0752
_cell_length_b 6.0752
_cell_length_c 11.7578
_cell_angle_alpha 90.00
_cell_angle_beta 90.00
_cell_angle_gamma 120.00
_symmetry_space_group_name_H-M 'P -6 m 2'
_symmetry_Int_Tables_number 187
_symmetry_space_group_name_Hall 'P -6 2'
loop_
_atom_site_label
_atom_site_fract_x
_atom_site_fract_y
_atom_site_fract_z
Pm1 0.0000 0.0000 0.0000
Sm1 0.0000 0.0000 0.3194
Sm2 0.3333 0.6667 0.1546
Sm3 0.6667 0.3333 0.0000
Er1 0.9999 0.4999 0.5000
Er2 0.6667 0.3333 0.2660
```


# Pm5SmEr2
Simulated X-ray diffraction stick pattern, Cu Ka. Input: DFT lattice parameters and positions (PBE).
Intensities are scaled so that the largest is 100.

Principal peaks in the range 2θ from 5° to 70°, in order of rising 2θ:
- 2.947 Å, 2θ = 30.33°, rel. 100, hkl 2 0 1
- 2.552 Å, 2θ = 35.17°, rel. 51, hkl 2 4 0
- 1.804 Å, 2θ = 50.59°, rel. 36, hkl 4 0 0
- 1.539 Å, 2θ = 60.13°, rel. 43, hkl 4 4 1
- 1.473 Å, 2θ = 63.10°, rel. 12, hkl 4 0 2

```
data_Pm5SmEr2
_chemical_formula_sum 'Pm10 Sm2 Er4'
_cell_length_a 7.2195
_cell_length_b 14.4378
_cell_length_c 5.1012
_cell_angle_alpha 90.00
_cell_angle_beta 90.00
_cell_angle_gamma 90.00
_symmetry_space_group_name_H-M 'P b a m'
_symmetry_Int_Tables_number 55
loop_
_symmetry_equiv_pos_as_xyz
'x,y,z'
'-x,-y,-z'
'-x,-y,z'
'x,y,-z'
'x+1/2,-y+1/2,-z'
'-x+1/2,y+1/2,z'
'-x+1/2,y+1/2,-z'
'x+1/2,-y+1/2,z'
loop_
_atom_site_label
_atom_site_fract_x
_atom_site_fract_y
_atom_site_fract_z
Pm1 0.0000 0.0000 0.0000
Pm2 0.9997 0.2502 0.0000
Pm3 0.2500 0.1249 0.5000
Sm1 0.0000 0.5000 0.0000
Er1 0.2497 0.3751 0.5000
```


# TbPm2SmEr4
Simulated X-ray diffraction stick pattern, Cu Ka. Input: DFT lattice parameters and positions (PBE).
Intensities are scaled so that the largest is 100.

Principal peaks in the range 2θ from 5° to 70°, in order of rising 2θ:
- 3.315 Å, 2θ = 26.90°, rel. 45, hkl 0 0 4
- 2.945 Å, 2θ = 30.35°, rel. 100, hkl 2 2 0
- 2.202 Å, 2θ = 40.99°, rel. 89, hkl 2 2 4
- 1.700 Å, 2θ = 53.92°, rel. 20, hkl 4 0 0
- 1.657 Å, 2θ = 55.44°, rel. 6, hkl 0 0 8
- 1.513 Å, 2θ = 61.27°, rel. 27, hkl 4 0 4
- 1.473 Å, 2θ = 63.13°, rel. 12, hkl 4 4 0
- 1.444 Å, 2θ = 64.52°, rel. 23, hkl 2 2 8
- 1.346 Å, 2θ = 69.90°, rel. 18, hkl 4 4 4

```
data_TbPm2SmEr4
_chemical_formula_sum 'Tb4 Pm8 Sm4 Er16'
_cell_length_a 6.8003
_cell_length_b 11.7837
_cell_length_c 13.2584
_cell_angle_alpha 90.00
_cell_angle_beta 90.00
_cell_angle_gamma 90.00
_symmetry_space_group_name_H-M 'I m m a'
_symmetry_Int_Tables_number 74
_symmetry_space_group_name_Hall '-I 2b 2'
loop_
_atom_site_label
_atom_site_fract_x
_atom_site_fract_y
_atom_site_fract_z
Tb1 0.2500 0.2500 0.2500
Pm1 0.0000 0.0000 0.0000
Pm2 0.2500 0.2500 0.7500
Sm1 0.0000 0.0000 0.5000
Er1 0.0000 0.0022 0.2501
Er2 0.2502 0.2500 0.0020
```


# TbPm2SmEr5
Simulated X-ray diffraction stick pattern, Cu Ka. Input: DFT lattice parameters and positions (PBE).
Intensities are scaled so that the largest is 100.

Principal peaks in the range 2θ from 5° to 70°, in order of rising 2θ:
- 3.089 Å, 2θ = 28.90°, rel. 47, hkl 2 1 3
- 3.042 Å, 2θ = 29.36°, rel. 51, hkl 2 2 0
- 2.884 Å, 2θ = 31.01°, rel. 100, hkl 2 0 4
- 2.721 Å, 2θ = 32.91°, rel. 14, hkl 3 1 0
- 2.359 Å, 2θ = 38.15°, rel. 15, hkl 3 2 1
- 1.943 Å, 2θ = 46.76°, rel. 12, hkl 0 0 8
- 1.936 Å, 2θ = 46.93°, rel. 11, hkl 4 1 3
- 1.724 Å, 2θ = 53.11°, rel. 22, hkl 4 2 4
- 1.637 Å, 2θ = 56.18°, rel. 13, hkl 2 2 8
- 1.521 Å, 2θ = 60.91°, rel. 15, hkl 4 4 0

```
data_TbPm2SmEr5
_chemical_formula_sum 'Tb4 Pm8 Sm4 Er20'
_cell_length_a 8.6054
_cell_length_b 8.6054
_cell_length_c 15.5403
_cell_angle_alpha 90.00
_cell_angle_beta 90.00
_cell_angle_gamma 90.00
_symmetry_space_group_name_H-M 'I 4/m c m'
_symmetry_Int_Tables_number 140
_symmetry_space_group_name_Hall '-I 4 2c'
loop_
_atom_site_label
_atom_site_fract_x
_atom_site_fract_y
_atom_site_fract_z
Tb1 0.0000 0.0000 0.2500
Pm1 0.1175 0.3825 0.0000
Sm1 0.0000 0.5000 0.2500
Er1 0.0000 0.0000 0.0000
Er2 0.2099 0.2901 0.3615
```


# TbPm2Sm5Er
Simulated X-ray diffraction stick pattern, Cu Ka. Input: DFT lattice parameters and positions (PBE).
Intensities are scaled so that the largest is 100.

Principal peaks in the range 2θ from 5° to 70°, in order of rising 2θ:
- 3.146 Å, 2θ = 28.37°, rel. 45, hkl 2 1 3
- 3.063 Å, 2θ = 29.16°, rel. 51, hkl 2 2 0
- 2.956 Å, 2θ = 30.24°, rel. 100, hkl 2 0 4
- 2.739 Å, 2θ = 32.69°, rel. 11, hkl 3 1 0
- 2.595 Å, 2θ = 34.57°, rel. 11, hkl 3 1 2
- 2.376 Å, 2θ = 37.86°, rel. 14, hkl 3 2 1
- 2.092 Å, 2θ = 43.25°, rel. 11, hkl 4 0 2
- 2.022 Å, 2θ = 44.82°, rel. 13, hkl 0 0 8
- 1.747 Å, 2θ = 52.37°, rel. 25, hkl 4 2 4
- 1.688 Å, 2θ = 54.36°, rel. 14, hkl 2 2 8

```
data_TbPm2Sm5Er
_chemical_formula_sum 'Tb4 Pm8 Sm20 Er4'
_cell_length_a 8.6623
_cell_length_b 8.6623
_cell_length_c 16.1770
_cell_angle_alpha 90.00
_cell_angle_beta 90.00
_cell_angle_gamma 90.00
_symmetry_space_group_name_H-M 'I 4/m c m'
_symmetry_Int_Tables_number 140
_symmetry_space_group_name_Hall '-I 4 2c'
loop_
_atom_site_label
_atom_site_fract_x
_atom_site_fract_y
_atom_site_fract_z
Tb1 0.0000 0.0000 0.2500
Pm1 0.1192 0.3808 0.0000
Sm1 0.0000 0.0000 0.0000
Sm2 0.2133 0.2867 0.3590
Er1 0.0000 0.5000 0.2500
```


# Tb2Pm4SmEr
Simulated X-ray diffraction stick pattern, Cu Ka. Input: DFT lattice parameters and positions (PBE).
Intensities are scaled so that the largest is 100.

Principal peaks in the range 2θ from 5° to 70°, in order of rising 2θ:
- 2.946 Å, 2θ = 30.34°, rel. 100, hkl 1 1 1
- 2.936 Å, 2θ = 30.45°, rel. 33, hkl 0 0 4
- 2.552 Å, 2θ = 35.16°, rel. 45, hkl 1 1 -3
- 2.543 Å, 2θ = 35.29°, rel. 22, hkl 2 0 2
- 1.808 Å, 2θ = 50.49°, rel. 8, hkl 0 2 0
- 1.803 Å, 2θ = 50.62°, rel. 24, hkl 3 1 -1
- 1.799 Å, 2θ = 50.74°, rel. 16, hkl 1 1 5
- 1.540 Å, 2θ = 60.10°, rel. 29, hkl 0 2 4
- 1.536 Å, 2θ = 60.27°, rel. 24, hkl 4 0 0
- 1.473 Å, 2θ = 63.11°, rel. 12, hkl 2 2 2

```
data_Tb2Pm4SmEr
_chemical_formula_sum 'Tb2 Pm4 Sm1 Er1'
_cell_length_a 6.2439
_cell_length_b 3.6154
_cell_length_c 11.9314
_cell_angle_alpha 90.00
_cell_angle_beta 100.22
_cell_angle_gamma 90.00
_symmetry_space_group_name_H-M 'P 1 2/m 1'
_symmetry_Int_Tables_number 10
loop_
_symmetry_equiv_pos_as_xyz
'x,y,z'
'-x,-y,-z'
'-x,y,-z'
'x,-y,z'
loop_
_atom_site_label
_atom_site_fract_x
_atom_site_fract_y
_atom_site_fract_z
Tb1 0.0000 0.0000 0.0000
Tb2 0.0000 0.5000 0.5000
Pm1 0.2501 0.0000 0.7483
Pm2 0.2497 0.5000 0.2517
Sm1 0.5000 0.5000 0.0000
Er1 0.5000 0.0000 0.5000
```


# Tb5Pm2SmEr
Simulated X-ray diffraction stick pattern, Cu Ka. Input: DFT lattice parameters and positions (PBE).
Intensities are scaled so that the largest is 100.

Principal peaks in the range 2θ from 5° to 70°, in order of rising 2θ:
- 3.117 Å, 2θ = 28.64°, rel. 46, hkl 2 1 3
- 3.076 Å, 2θ = 29.02°, rel. 51, hkl 2 2 0
- 2.906 Å, 2θ = 30.77°, rel. 100, hkl 2 0 4
- 2.752 Å, 2θ = 32.54°, rel. 12, hkl 3 1 0
- 2.595 Å, 2θ = 34.56°, rel. 11, hkl 3 1 2
- 2.385 Å, 2θ = 37.72°, rel. 16, hkl 3 2 1
- 2.093 Å, 2θ = 43.22°, rel. 20, hkl 4 0 2
- 1.954 Å, 2θ = 46.47°, rel. 22, hkl 0 0 8
- 1.741 Å, 2θ = 52.55°, rel. 23, hkl 4 2 4
- 1.649 Å, 2θ = 55.74°, rel. 18, hkl 2 2 8

```
data_Tb5Pm2SmEr
_chemical_formula_sum 'Tb20 Pm8 Sm4 Er4'
_cell_length_a 8.7014
_cell_length_b 8.7014
_cell_length_c 15.6204
_cell_angle_alpha 90.00
_cell_angle_beta 90.00
_cell_angle_gamma 90.00
_symmetry_space_group_name_H-M 'I 4/m c m'
_symmetry_Int_Tables_number 140
_symmetry_space_group_name_Hall '-I 4 2c'
loop_
_atom_site_label
_atom_site_fract_x
_atom_site_fract_y
_atom_site_fract_z
Tb1 0.0000 0.0000 0.0000
Tb2 0.2106 0.2894 0.1386
Pm1 0.1172 0.3829 0.5000
Sm1 0.0000 0.0000 0.2500
Er1 0.0000 0.5000 0.2500
```